(1)
Simulated X-ray powder pattern
Compound: MnZn4Se5
Radiation: Cu Kα
Structure: a structure optimized by DFT (PBE)
Kinematic intensities with the Lorentz-polarization factor, no thermal factor.

Structural model:
```
data_MnZn4Se5
_space_group_name_H-M_alt 'P 3 m 1'
_space_group_IT_number 156
_space_group_name_Hall 'P 3 -2"'
_cell_length_a 4.0751
_cell_length_b 4.0751
_cell_length_c 33.4845
_cell_angle_alpha 90.00
_cell_angle_beta 90.00
_cell_angle_gamma 120.00
loop_
_atom_site_label
_atom_site_type_symbol
_atom_site_fract_x
_atom_site_fract_y
_atom_site_fract_z
Mn1 Mn 0.0000 0.0000 0.0000
Mn2 Mn 0.0000 0.0000 0.2031
Zn1 Zn 0.0000 0.0000 0.4044
Zn2 Zn 0.0000 0.0000 0.6024
Zn3 Zn 0.0000 0.0000 0.8002
Zn4 Zn 0.3333 0.6667 0.1023
Zn5 Zn 0.3333 0.6667 0.3055
Zn6 Zn 0.3333 0.6667 0.5034
Zn7 Zn 0.3333 0.6667 0.7013
Zn8 Zn 0.3333 0.6667 0.8991
Se1 Se 0.0000 0.0000 0.1272
Se2 Se 0.0000 0.0000 0.3299
Se3 Se 0.0000 0.0000 0.5280
Se4 Se 0.0000 0.0000 0.7260
Se5 Se 0.0000 0.0000 0.9243
Se6 Se 0.3333 0.6667 0.0280
Se7 Se 0.3333 0.6667 0.2311
Se8 Se 0.3333 0.6667 0.4290
Se9 Se 0.3333 0.6667 0.6270
Se10 Se 0.3333 0.6667 0.8249
```

Principal peaks in the range 2θ from 10° to 90°, by angle:
- 25.24°, 3.529 Å, intensity 100, (1 0 0)
- 26.62°, 3.348 Å, intensity 56, (0 0 10)
- 28.59°, 3.122 Å, intensity 67, (1 0 5)
- 37.01°, 2.429 Å, intensity 35, (1 0 10)
- 44.46°, 2.038 Å, intensity 85, (1 1 0)
- 48.24°, 1.887 Å, intensity 83, (1 0 15)
- 52.58°, 1.741 Å, intensity 49, (1 1 10)
- 67.68°, 1.384 Å, intensity 29, (0 2 15)
- 76.00°, 1.252 Å, intensity 19, (1 0 25)
- 84.64°, 1.145 Å, intensity 31, (2 1 15)

(2)
Simulated X-ray powder pattern
Compound: ZrMn3Se6
Radiation: Cu Kα
Structure: a structure optimized by DFT (PBE)
Kinematic intensities with the Lorentz-polarization factor, no thermal factor.

Structural model:
```
data_ZrMn3Se6
_space_group_name_H-M_alt 'R 3'
_space_group_IT_number 146
_space_group_name_Hall 'R 3'
_cell_length_a 6.5875
_cell_length_b 6.5875
_cell_length_c 17.9167
_cell_angle_alpha 90.00
_cell_angle_beta 90.00
_cell_angle_gamma 120.00
loop_
_atom_site_label
_atom_site_type_symbol
_atom_site_fract_x
_atom_site_fract_y
_atom_site_fract_z
Zr1 Zr 0.0000 0.0000 0.0000
Mn1 Mn 0.0000 0.0000 0.1839
Mn2 Mn 0.0000 0.0000 0.4980
Mn3 Mn 0.0000 0.0000 0.6832
Se1 Se 0.0173 0.6768 0.7618
Se2 Se 0.0277 0.3497 0.2581
```

Principal peaks in the range 2θ from 10° to 90°, by angle:
- 18.44°, 4.812 Å, intensity 21, (0 1 2)
- 25.28°, 3.523 Å, intensity 12, (1 0 4)
- 31.01°, 2.884 Å, intensity 100, (1 1 3)
- 40.79°, 2.212 Å, intensity 64, (2 -1 6)
- 47.83°, 1.902 Å, intensity 44, (3 0 0)
- 53.81°, 1.704 Å, intensity 20, (2 -1 9)
- 58.10°, 1.588 Å, intensity 15, (4 -2 3)
- 64.63°, 1.442 Å, intensity 15, (2 2 6)
- 82.06°, 1.174 Å, intensity 15, (3 0 12)
- 84.28°, 1.149 Å, intensity 13, (5 -1 6)

(3)
Simulated X-ray powder pattern
Compound: ZrMn4Se
Radiation: Cu Kα
Structure: a structure optimized by DFT (PBE)
Kinematic intensities with the Lorentz-polarization factor, no thermal factor.

Structural model:
```
data_ZrMn4Se
_space_group_name_H-M_alt 'F -4 3 m'
_space_group_IT_number 216
_space_group_name_Hall 'F -4 2 3'
_cell_length_a 6.933
_cell_length_b 6.933
_cell_length_c 6.933
_cell_angle_alpha 90.00
_cell_angle_beta 90.00
_cell_angle_gamma 90.00
loop_
_atom_site_label
_atom_site_type_symbol
_atom_site_fract_x
_atom_site_fract_y
_atom_site_fract_z
Zr1 Zr 0.000 0.000 0.000
Mn1 Mn 0.125 0.125 0.625
Se1 Se 0.250 0.250 0.250
```

Principal peaks in the range 2θ from 10° to 90°, by angle:
- 22.21°, 4.003 Å, intensity 1, (1 1 1)
- 36.66°, 2.451 Å, intensity 44, (2 2 0)
- 43.28°, 2.090 Å, intensity 100, (3 1 1)
- 45.31°, 2.001 Å, intensity 26, (2 2 2)
- 52.82°, 1.733 Å, intensity 1, (4 0 0)
- 66.01°, 1.415 Å, intensity 15, (4 2 2)
- 70.59°, 1.334 Å, intensity 29, (5 1 1)
- 77.96°, 1.226 Å, intensity 23, (4 4 0)
- 89.38°, 1.096 Å, intensity 7, (6 2 0)